For Tb3Pr5Th2, DFT lattice parameters and positions (PBE) gives the theoretical powder X-ray diffraction pattern in this record (Cu Kα (weighted mean of Kα1 and Kα2)).
Kinematic intensities with the Lorentz-polarization factor, no thermal factor.

Most intense lines, 5 to 70 degrees two-theta, most intense first:
| Position (°2θ) | d (Å) | I_rel |
| --- | --- | --- |
| 29.20 | 3.058 | 100.0 |
| 30.95 | 2.889 | 93.5 |
| 32.21 | 2.779 | 74.6 |
| 35.79 | 2.509 | 26.8 |
| 49.21 | 1.851 | 21.3 |
| 34.13 | 2.627 | 21.2 |
| 46.20 | 1.965 | 18.0 |
| 62.80 | 1.480 | 17.6 |
| 56.62 | 1.625 | 17.0 |
| 47.62 | 1.910 | 16.7 |

```
20
Lattice="5.5612 -7.3810 0.0000 5.5612 7.3810 0.0000 -5.5466 0.0000 8.4341" Properties=species:S:1:pos:R:3 pbc="T T T"
Tb 1.3569 1.8547 0.4504
Tb 1.4012 3.9474 6.3256
Tb -1.4164 -1.8547 4.6675
Tb 6.9922 1.8547 3.7666
Tb 4.1745 -3.9474 2.1085
Tb 4.2188 -1.8547 7.9837
Pr 1.4012 7.0258 6.3256
Pr -1.3887 1.8903 6.3435
Pr 4.1745 3.2978 2.1085
Pr 1.3846 -1.8903 2.1265
Pr 4.1745 0.2122 2.1085
Pr 1.4012 -0.2122 6.3256
Pr 4.1911 1.8903 6.3076
Pr 1.4012 -3.2978 6.3256
Pr 6.9645 -1.8903 2.0906
Pr 4.1745 -7.0258 2.1085
Th 1.3619 1.8728 3.7224
Th -1.4114 -1.8728 7.9395
Th 6.9872 1.8728 0.4946
Th 4.2139 -1.8728 4.7117
```